[1]
Computed powder X-ray diffraction pattern
Compound: LiFe2F5
Radiation: Cu Kα (λ = 1.5418 Å)
Structure: DFT lattice parameters and positions (GGA+U)

Crystal structure
Unit cell a=10.970 b=5.218 c=7.571 alpha=90.00 beta=111.95 gamma=90.00
Space group C2/c (No. 15)
Unique sites:
Li  0.000  0.000  0.000 [4 per cell]
Fe  0.181  0.494  0.370 [8 per cell]
F  0.000  0.309  0.250 [4 per cell]
F  0.129  0.191  0.973 [8 per cell]
F  0.189  0.292  0.632 [8 per cell]

Largest 8 diffraction maxima, in order of falling intensity, 2θ from 15° to 90°:
2theta  I/Imax
29.15  100
17.43  87
31.46  70
49.86  54
19.12  42
24.85  39
40.07  24
51.93  22

---

[2]
Computed powder X-ray diffraction pattern
Compound: LiFe2F5
Radiation: Cu Kα (λ = 1.5418 Å)
Structure: DFT lattice parameters and positions (GGA+U)

Crystal structure
Unit cell a=6.316 b=8.047 c=8.858 alpha=105.91 beta=91.09 gamma=101.25
Space group P-1 (No. 2)
Unique sites:
Li  0.193  0.289  0.333 [2 per cell]
Li  0.294  0.709  0.939 [2 per cell]
Fe  0.046  0.687  0.294 [2 per cell]
Fe  0.160  0.106  0.917 [2 per cell]
Fe  0.355  0.893  0.614 [2 per cell]
Fe  0.458  0.330  0.707 [2 per cell]
F  0.053  0.733  0.533 [2 per cell]
F  0.059  0.722  0.077 [2 per cell]
F  0.119  0.096  0.146 [2 per cell]
F  0.174  0.115  0.673 [2 per cell]
F  0.244  0.502  0.269 [2 per cell]
F  0.246  0.498  0.768 [2 per cell]
F  0.331  0.898  0.845 [2 per cell]
F  0.369  0.892  0.367 [2 per cell]
F  0.441  0.283  0.463 [2 per cell]
F  0.453  0.281  0.928 [2 per cell]

Largest 8 diffraction maxima, in order of falling intensity, 2θ from 15° to 90°:
2theta  I/Imax
18.37  100
41.41  72
41.22  70
40.75  69
17.77  59
59.00  43
29.21  34
22.86  34

---

[3]
Computed powder X-ray diffraction pattern
Compound: Li2FeF5
Radiation: Cu Kα (λ = 1.5418 Å)
Structure: DFT lattice parameters and positions (GGA+U)

Crystal structure
Unit cell a=8.902 b=6.411 c=6.194 alpha=90.00 beta=90.00 gamma=90.00
Space group Pna2_1 (No. 33)
Unique sites:
Li  0.154  0.058  0.000 [4 per cell]
Li  0.162  0.063  0.471 [4 per cell]
Fe  0.000  0.416  0.731 [4 per cell]
F  0.007  0.917  0.229 [4 per cell]
F  0.063  0.332  0.436 [4 per cell]
F  0.064  0.333  0.025 [4 per cell]
F  0.197  0.563  0.731 [4 per cell]
F  0.215  0.623  0.234 [4 per cell]

Largest 8 diffraction maxima, in order of falling intensity, 2θ from 15° to 90°:
2theta  I/Imax
17.04  100
19.94  82
40.52  25
28.83  25
49.55  22
45.55  18
50.50  17
44.87  13